# Pm2Cu2Au
Theoretical powder diffraction line list, Cu Kα (weighted mean of Kα1 and Kα2). Input: a PBE-relaxed structure.

Top 10 peaks for 2θ = 5–70°, by angle:
two_theta	I (rel.)
9.10	35.6
26.41	35.5
31.69	82.8
32.45	62.4
33.36	98.0
36.31	48.6
37.01	37.0
39.43	100.0
39.91	45.9
41.65	66.0

Structure:
Cell lengths 10.5582, 4.3370, 10.7889 Å; angles 90.00, 115.76, 90.00 degrees
Space group C2/m (No. 12)
Unique sites:
Pm 0.0216 0.0000 0.3435 [4 per cell]
Pm 0.1929 0.0000 0.1120 [4 per cell]
Cu 0.0225 0.5000 0.8933 [4 per cell]
Cu 0.1303 0.5000 0.5596 [4 per cell]
Au 0.2235 0.5000 0.3338 [4 per cell]